Diffraction record for Na2Cu2Si4H4O13. The X-ray powder pattern is theoretical, not measured: it uses DFT lattice parameters and positions (GGA-PBE) and Cu Kα.
Kinematic intensities with the Lorentz-polarization factor, no thermal factor.

Cell: 5.2683 6.4574 8.7928 Å, 101.87 93.62 103.10°
Space group P-1 (No. 2)
One atom of each set of equivalent atoms:
1 Na 0.1425 0.1391 0.3010 [2 per cell]
2 Cu 0.2976 0.6217 0.5769 [2 per cell]
3 Si 0.0268 0.6138 0.1858 [2 per cell]
4 Si 0.3927 0.1689 0.6687 [2 per cell]
5 H 0.3404 0.2446 0.0008 [2 per cell]
6 H 0.4243 0.8052 0.9100 [2 per cell]
7 O 0.0000 0.5000 0.0000 [1 per cell]
8 O 0.0195 0.5583 0.7044 [2 per cell]
9 O 0.1916 0.2354 0.8017 [2 per cell]
10 O 0.2663 0.9166 0.5868 [2 per cell]
11 O 0.3171 0.7894 0.2302 [2 per cell]
12 O 0.4017 0.2191 0.1020 [2 per cell]
13 O 0.4028 0.3371 0.5482 [2 per cell]

Principal peaks in the range 5 to 70 degrees two-theta, by angle:
- 2θ 10.35, 8.548 Å, I 100, (0 0 1)
- 2θ 14.46, 6.126 Å, I 23, (0 1 0)
- 2θ 19.70, 4.507 Å, I 13, (1 -1 0)
- 2θ 21.30, 4.172 Å, I 21, (1 0 1)
- 2θ 22.51, 3.950 Å, I 17, (0 1 -2)
- 2θ 28.76, 3.104 Å, I 34, (1 0 2)
- 2θ 29.42, 3.036 Å, I 15, (1 1 1)
- 2θ 30.13, 2.966 Å, I 28, (1 -2 0)
- 2θ 31.49, 2.841 Å, I 18, (0 1 -3)
- 2θ 36.32, 2.473 Å, I 19, (1 1 2)

***

Diffraction record for CuHO2. The X-ray powder pattern is theoretical, not measured: it uses DFT lattice parameters and positions (GGA-PBE) and Cu Kα.
Kinematic intensities with the Lorentz-polarization factor, no thermal factor.

Cell: 2.7887 5.9674 4.4110 Å, 90.00 90.00 90.00°
Space group Pmn2_1 (No. 31)
One atom of each set of equivalent atoms:
1 Cu 0.0000 0.2360 0.0000 [2 per cell]
2 H 0.0000 0.7436 0.0400 [2 per cell]
3 O 0.0000 0.6593 0.2529 [2 per cell]
4 O 0.0000 0.8551 0.7480 [2 per cell]

Principal peaks in the range 5 to 70 degrees two-theta, by angle:
- 2θ 25.11, 3.547 Å, I 100, (0 1 1)
- 2θ 29.95, 2.984 Å, I 46, (0 2 0)
- 2θ 35.53, 2.526 Å, I 14, (1 1 0)
- 2θ 36.35, 2.471 Å, I 9, (0 2 1)
- 2θ 38.18, 2.357 Å, I 35, (1 0 1)
- 2θ 49.27, 1.850 Å, I 32, (1 2 1)
- 2θ 50.32, 1.813 Å, I 13, (0 3 1)
- 2θ 51.53, 1.774 Å, I 10, (0 2 2)
- 2θ 55.29, 1.661 Å, I 38, (1 1 2)
- 2θ 56.86, 1.619 Å, I 11, (1 3 0)